Entry 1:
Calculated X-ray diffraction stick pattern of Tl9Pd13 for Cu Kα, from a PBE-relaxed structure.

```
Tl9Pd13
1.0
9.0877 0.0000 0.0000
-4.5439 7.8702 0.0000
0.0000 0.0000 5.7062
Tl Pd
9 13
Direct
0.0000 0.0000 0.0000
0.1933 0.3867 0.7465
0.1933 0.8067 0.7465
0.3333 0.6667 0.2489
0.3867 0.1933 0.2535
0.6133 0.8067 0.7465
0.6667 0.3333 0.7511
0.8067 0.1933 0.2535
0.8067 0.6133 0.2535
0.0000 0.0000 0.5000
0.0000 0.5000 0.0000
0.0000 0.5000 0.5000
0.1591 0.3182 0.2524
0.1591 0.8409 0.2524
0.3182 0.1591 0.7476
0.5000 0.0000 0.0000
0.5000 0.0000 0.5000
0.5000 0.5000 0.0000
0.5000 0.5000 0.5000
0.6818 0.8409 0.2524
0.8409 0.1591 0.7476
0.8409 0.6818 0.7476
```

Main lines, sorted by position (2θ from 10° to 90°):
index  2θ/deg  I/Imax
2 0 1  27.53  30
2 1 0  30.04  13
0 0 2  31.35  12
1 2 1  33.99  19
0 3 1  37.74  19
0 2 2  38.99  100
2 2 0  39.67  92
4 0 2  56.84  24
4 2 2  71.54  26
6 0 0  71.99  10
2 5 1  77.58  10
2 2 4  79.30  24

***

Entry 2:
Calculated X-ray diffraction stick pattern of Tl9Pd13 for Cu Kα, from a PBE-relaxed structure.

```
Tl9Pd13
1.0
9.1210 0.0000 0.0000
-4.5605 7.8991 0.0000
0.0000 0.0000 5.7286
Tl Pd
9 13
Direct
0.0000 0.0000 0.0000
0.1933 0.3866 0.7465
0.1933 0.8067 0.7465
0.3333 0.6667 0.2489
0.3866 0.1933 0.2535
0.6134 0.8067 0.7465
0.6667 0.3333 0.7511
0.8067 0.1933 0.2535
0.8067 0.6134 0.2535
0.0000 0.0000 0.5000
0.0000 0.5000 0.0000
0.0000 0.5000 0.5000
0.1591 0.3182 0.2523
0.1591 0.8409 0.2523
0.3182 0.1591 0.7477
0.5000 0.0000 0.0000
0.5000 0.0000 0.5000
0.5000 0.5000 0.0000
0.5000 0.5000 0.5000
0.6818 0.8409 0.2523
0.8409 0.1591 0.7477
0.8409 0.6818 0.7477
```

Main lines, sorted by position (2θ from 10° to 90°):
index  2θ/deg  I/Imax
2 0 1  27.43  30
2 1 0  29.93  13
0 0 2  31.23  12
1 2 1  33.86  19
0 3 1  37.60  19
0 2 2  38.84  100
2 2 0  39.52  92
4 0 2  56.61  24
4 2 2  71.23  26
6 0 0  71.69  10
2 5 1  77.24  10
2 2 4  78.94  24

***

Entry 3:
Calculated X-ray diffraction stick pattern of TlPd9 for Cu Kα, from a PBE-relaxed structure.

```
TlPd9
1.0
2.8410 0.0000 0.0000
0.0000 3.8184 0.0000
0.0000 0.0000 40.1785
Tl Pd
2 18
Direct
0.2500 0.2500 0.1621
0.7500 0.7500 0.8379
0.2500 0.2500 0.2396
0.2500 0.2500 0.3096
0.2500 0.2500 0.3791
0.2500 0.2500 0.4481
0.2500 0.2500 0.5172
0.2500 0.2500 0.5864
0.2500 0.2500 0.6558
0.2500 0.2500 0.7257
0.2500 0.2500 0.7965
0.7500 0.7500 0.2035
0.7500 0.7500 0.2743
0.7500 0.7500 0.3442
0.7500 0.7500 0.4136
0.7500 0.7500 0.4828
0.7500 0.7500 0.5519
0.7500 0.7500 0.6209
0.7500 0.7500 0.6904
0.7500 0.7500 0.7604
```

Main lines, sorted by position (2θ from 10° to 90°):
index  2θ/deg  I/Imax
0 1 14  39.27  72
1 1 0  39.55  100
0 1 15  41.17  27
1 0 14  44.89  49
1 0 15  46.60  18
0 2 0  47.64  29
2 0 0  65.74  11
1 2 14  67.54  34
1 2 15  68.84  11
2 1 14  79.33  18
1 1 29  81.26  11
1 3 0  83.17  11

***

Entry 4:
Calculated X-ray diffraction stick pattern of Tl2Pd7 for Cu Kα, from a PBE-relaxed structure.

```
Tl2Pd7
1.0
2.9134 0.0000 0.0000
-1.4567 2.5231 0.0000
0.0000 0.0000 29.7619
Tl Pd
2 7
Direct
0.3333 0.6667 0.1982
0.6667 0.3333 0.8018
0.0000 0.0000 0.2799
0.0000 0.0000 0.5000
0.0000 0.0000 0.7201
0.3333 0.6667 0.4272
0.3333 0.6667 0.6459
0.6667 0.3333 0.3541
0.6667 0.3333 0.5728
```

Main lines, sorted by position (2θ from 10° to 90°):
index  2θ/deg  I/Imax
0 0 5  14.88  26
1 0 1  35.71  17
1 0 4  37.65  100
1 0 5  38.76  79
0 0 13  39.36  29
0 1 7  41.62  16
0 0 14  42.52  15
0 1 8  43.33  17
0 1 9  45.20  82
1 1 0  63.92  34
1 0 18  67.76  21
1 1 13  77.70  24

***

Entry 5:
Calculated X-ray diffraction stick pattern of TlPd15 for Cu Kα, from a PBE-relaxed structure.

```
TlPd15
1.0
5.5537 0.0000 0.0000
0.0000 3.8690 0.0000
-0.0196 0.0000 33.1779
Tl Pd
2 30
Direct
0.0000 0.0000 0.0000
0.2489 0.5000 0.6578
0.9997 0.0000 0.0933
0.9996 0.0000 0.2653
0.9996 0.0000 0.4350
0.0008 0.0000 0.5208
0.2481 0.5000 0.1371
0.2493 0.5000 0.0504
0.2493 0.5000 0.2228
0.2494 0.5000 0.3925
0.2492 0.5000 0.5646
0.2497 0.5000 0.3077
0.2495 0.5000 0.4778
0.4980 0.0000 0.5208
0.4992 0.0000 0.4351
0.4987 0.0000 0.6076
0.5000 0.0000 0.0094
0.4997 0.0000 0.0952
0.4996 0.0000 0.1804
0.4996 0.0000 0.2653
0.4996 0.0000 0.3500
0.7494 0.5000 0.3077
0.7494 0.5000 0.3925
0.7494 0.5000 0.4775
0.7493 0.5000 0.5628
0.7488 0.5000 0.6488
0.7504 0.5000 0.0504
0.7497 0.5000 0.2228
0.7510 0.5000 0.1371
0.9995 0.0000 0.1801
0.9992 0.0000 0.3500
0.9994 0.0000 0.6077
```

Main lines, sorted by position (2θ from 10° to 90°):
index  2θ/deg  I/Imax
0 1 11  37.82  44
2 1 0  39.98  100
0 1 12  40.08  61
2 0 -11  44.34  28
2 0 12  46.34  40
0 2 0  46.99  31
2 2 -11  66.57  17
2 2 12  68.12  25
2 1 -23  78.74  17
4 1 12  81.46  15
2 3 0  82.50  19
4 2 0  86.24  11

***

Entry 6:
Calculated X-ray diffraction stick pattern of TlPd15 for Cu Kα, from a PBE-relaxed structure.

```
TlPd15
1.0
3.9121 0.0000 0.0000
0.0000 3.9125 0.0000
0.0000 0.0000 43.9237
Tl Pd
2 30
Direct
0.2500 0.0000 0.1551
0.7500 0.0000 0.8449
0.2500 0.0000 0.2539
0.2500 0.0000 0.3438
0.2500 0.0000 0.4333
0.2500 0.0000 0.5221
0.2500 0.0000 0.6113
0.2500 0.0000 0.7011
0.2500 0.0000 0.7925
0.2500 0.5000 0.2075
0.2500 0.5000 0.2989
0.2500 0.5000 0.3887
0.2500 0.5000 0.4778
0.2500 0.5000 0.5668
0.2500 0.5000 0.6560
0.2500 0.5000 0.7468
0.2500 0.5000 0.8386
0.7500 0.0000 0.2075
0.7500 0.0000 0.2989
0.7500 0.0000 0.3887
0.7500 0.0000 0.4779
0.7500 0.0000 0.5667
0.7500 0.0000 0.6562
0.7500 0.0000 0.7461
0.7500 0.5000 0.1614
0.7500 0.5000 0.2532
0.7500 0.5000 0.3440
0.7500 0.5000 0.4332
0.7500 0.5000 0.5222
0.7500 0.5000 0.6113
0.7500 0.5000 0.7011
0.7500 0.5000 0.7925
```

Main lines, sorted by position (2θ from 10° to 90°):
index  2θ/deg  I/Imax
0 0 6  12.09  5
1 1 9  37.37  10
1 1 11  39.63  100
1 1 12  40.89  15
0 0 22  45.43  15
2 0 0  46.43  39
2 0 22  66.97  18
2 2 0  67.75  12
1 1 33  80.00  11
3 1 11  81.44  24
1 1 34  82.39  5
2 2 22  85.38  10